Diffraction record for Li5Fe7O3F13. The X-ray powder pattern is simulated, not measured: it uses a crystal structure in Alexandria, relaxed with PBE+U and copper Kα.
Intensities are scaled so that the largest is 100.

Cell and atoms:
Cell lengths 6.1627, 6.1627, 10.8191 Å; angles 106.71, 106.71, 58.71 degrees
Sites, in units of the cell vectors:
Li (0.0000, 0.0000, 0.0000)
Li (0.4085, 0.4085, 0.1278)
Li (0.5132, 0.5132, 0.4851)
Li (0.9265, 0.9265, 0.6263)
Li (0.9669, 0.9669, 0.3015)
Fe (0.2041, 0.2041, 0.5564)
Fe (0.4599, 0.4599, 0.8072)
Fe (0.4608, 0.9600, 0.8070)
Fe (0.4978, 0.9149, 0.3019)
Fe (0.7112, 0.7112, 0.0550)
Fe (0.9149, 0.4978, 0.3019)
Fe (0.9600, 0.4608, 0.8070)
O (0.1199, 0.1199, 0.6929)
O (0.5980, 0.5980, 0.1693)
O (0.8012, 0.8012, 0.9210)
F (0.0799, 0.6019, 0.1972)
F (0.0921, 0.0921, 0.1987)
F (0.1020, 0.5882, 0.6816)
F (0.3135, 0.3135, 0.4270)
F (0.3200, 0.8232, 0.9221)
F (0.3367, 0.8449, 0.4242)
F (0.3431, 0.3431, 0.9325)
F (0.5742, 0.5742, 0.6774)
F (0.5882, 0.1020, 0.6816)
F (0.6019, 0.0799, 0.1972)
F (0.8232, 0.3200, 0.9221)
F (0.8449, 0.3367, 0.4242)
F (0.8533, 0.8533, 0.4348)

The 8 most intense peaks (2θ from 10° to 90°), sorted by position:
17.37 deg, I = 41
17.49 deg, I = 83
17.81 deg, I = 78
33.98 deg, I = 33
34.51 deg, I = 44
41.07 deg, I = 54
41.61 deg, I = 100
59.72 deg, I = 32